Diffraction record for LiCo. The powder diffraction line list is simulated, not measured: it uses a cell relaxed with GGA-PBE and Cu Kα, 1.54184 Å.
Kinematic intensities with the Lorentz-polarization factor, no thermal factor.

Structure:
a b c (Å): 2.5360 2.5360 26.6722
angles (deg): 90.00 90.00 120.00
Positions (direct):
Li 0.0000 0.0000 0.1181
Li 0.0000 0.0000 0.8819
Li 0.3333 0.6667 0.5485
Li 0.3333 0.6667 0.7848
Li 0.6667 0.3333 0.2152
Li 0.6667 0.3333 0.4515
Co 0.0000 0.0000 0.3699
Co 0.0000 0.0000 0.6301
Co 0.3333 0.6667 0.0366
Co 0.3333 0.6667 0.2967
Co 0.6667 0.3333 0.7033
Co 0.6667 0.3333 0.9634

Most intense lines, 2θ from 15° to 90°, sorted by position:
hkl  d [Å]  intensity
0 0 12  2.223  35
1 0 1  2.189  39
1 0 4  2.086  100
0 1 5  2.031  21
1 0 7  1.903  42
0 1 8  1.834  62
0 1 11  1.628  29
1 0 16  1.328  16
1 1 0  1.268  18
1 1 12  1.101  19